# 1
The following is a calculated X-ray powder pattern of LiHo2O3. It was derived from the GGA-PBE geometry in the Materials Project, using Cu Ka.
Neutral-atom scattering factors, no anomalous dispersion.

```
6
Lattice="3.603 -1.799 0.000 3.603 1.799 0.000 -2.040 0.000 6.341" Properties=species:S:1:pos:R:3 pbc="T T T"
Li 0.000 0.000 0.000
Ho 0.079 0.000 4.462
Ho 5.059 0.000 1.754
O 0.052 0.000 2.162
O 2.131 0.000 0.364
O 5.046 0.000 4.083
```

Most intense lines, 15 to 90 degrees two-theta, sorted by position:
two_theta	I/Imax
25.98	59
28.15	46
29.53	100
32.04	31
33.23	57
43.01	15
45.45	36
48.16	29
50.73	21
55.54	24
57.86	19
62.47	13

=====

# 2
The following is a calculated X-ray powder pattern of Lu3Tl. It was derived from the GGA-PBE geometry in the Materials Project, using Cu Ka.
Neutral-atom scattering factors, no anomalous dispersion.

```
8
Lattice="6.753 0.000 0.000 -3.377 5.848 0.000 0.000 0.000 5.525" Properties=species:S:1:pos:R:3 pbc="T T T"
Lu 0.000 1.962 1.381
Lu -1.677 4.867 1.381
Lu 1.699 0.981 4.144
Lu 1.677 4.867 1.381
Lu 5.054 0.981 4.144
Lu 3.377 3.886 4.144
Tl 0.000 3.899 4.144
Tl 3.377 1.949 1.381
```

Most intense lines, 15 to 90 degrees two-theta, sorted by position:
two_theta	I/Imax
30.57	23
32.41	27
34.71	100
45.15	16
54.34	19
59.30	22
64.71	22
66.11	16
67.85	3
73.25	4
76.23	3
84.63	8

=====

# 3
The following is a calculated X-ray powder pattern of Pr3InO. It was derived from the GGA-PBE geometry in the Materials Project, using Cu Ka.
Neutral-atom scattering factors, no anomalous dispersion.

```
5
Lattice="5.033 0.000 0.000 0.000 5.033 0.000 0.000 0.000 5.033" Properties=species:S:1:pos:R:3 pbc="T T T"
Pr 0.000 0.000 2.517
Pr 0.000 2.517 0.000
Pr 2.517 0.000 0.000
In 2.517 2.517 2.517
O 0.000 0.000 0.000
```

Most intense lines, 15 to 90 degrees two-theta, sorted by position:
two_theta	I/Imax
17.62	2
30.77	100
35.68	57
40.06	1
51.34	40
61.06	43
64.09	13
75.56	6
83.77	18
86.47	18

=====

Number 3 is which compound?
Pr3InO